Structure and simulated PXRD pattern of Pm3Mg2Cd6 (the GGA-PBE geometry in Alexandria; CuKα).
Kinematic intensities with the Lorentz-polarization factor, no thermal factor.

Peak list (6 most intense, 2θ = 10–90°, sorted by position)
2θ = 30.8°, I = 100.0
2θ = 31.5°, I = 36.0
2θ = 34.0°, I = 65.5
2θ = 34.7°, I = 41.7
2θ = 38.0°, I = 51.8
2θ = 40.1°, I = 74.2

Structure:
Cell lengths 4.499, 4.499, 28.408 Å; angles 90.00, 90.00, 90.00 degrees
Space group I4/mmm (No. 139)
Asymmetric unit:
Pm 0.000 0.000 0.000 (multiplicity 2)
Pm 0.000 0.000 0.205 (multiplicity 4)
Mg 0.000 0.000 0.452 (multiplicity 4)
Cd 0.000 0.000 0.319 (multiplicity 4)
Cd 0.000 0.500 0.110 (multiplicity 8)

=====

Structure and simulated PXRD pattern of CaCr4Tc (the GGA-PBE geometry in Alexandria; CuKα).
Kinematic intensities with the Lorentz-polarization factor, no thermal factor.

Peak list (6 most intense, 2θ = 10–90°, sorted by position)
2θ = 36.3°, I = 36.9
2θ = 42.9°, I = 100.0
2θ = 44.9°, I = 31.5
2θ = 65.4°, I = 12.2
2θ = 69.9°, I = 27.8
2θ = 77.1°, I = 21.4

Structure:
Cell lengths 6.995, 6.995, 6.995 Å; angles 90.00, 90.00, 90.00 degrees
Space group F-43m (No. 216)
Asymmetric unit:
Ca 0.000 0.000 0.000 (multiplicity 4)
Cr 0.124 0.124 0.376 (multiplicity 16)
Tc 0.250 0.250 0.750 (multiplicity 4)